Entry 1:
# Nb2BS
Calculated X-ray powder pattern, a wavelength of 1.5418 Å. Input: a GGA-PBE-relaxed structure.

Most intense lines, 2θ from 10° to 80°, by intensity:
d [Å], 2theta, Rel. int., hkl
2.338, 38.5, 100.0, 1 0 3
2.922, 30.6, 41.4, 0 0 4
1.687, 54.4, 27.3, 1 1 0
2.834, 31.6, 23.7, 1 0 1
1.368, 68.6, 17.2, 2 0 3
1.450, 64.2, 13.8, 1 0 7
1.461, 63.7, 13.4, 1 1 4
1.276, 74.4, 12.7, 1 1 6
1.621, 56.8, 10.0, 1 0 6
2.067, 43.8, 9.6, 1 0 4

Atomic structure:
abc: 3.3730 3.3730 11.6978
angles: 90.00 90.00 120.00
Fractional positions:
Nb  0.3333  0.6667  0.1002
Nb  0.3333  0.6667  0.3998
Nb  0.6667  0.3333  0.6002
Nb  0.6667  0.3333  0.8998
B  0.0000  0.0000  0.0000
B  0.0000  0.0000  0.5000
S  0.3333  0.6667  0.7500
S  0.6667  0.3333  0.2500

Entry 2:
# YHoIn2
Calculated X-ray powder pattern, a wavelength of 1.5418 Å. Input: a GGA-PBE-relaxed structure.

Most intense lines, 2θ from 10° to 80°, by intensity:
d [Å], 2theta, Rel. int., hkl
2.652, 33.8, 100.0, 2 2 0
1.531, 60.5, 36.3, 4 2 2
1.875, 48.6, 17.8, 4 0 0
1.326, 71.1, 11.1, 4 4 0
4.331, 20.5, 4.8, 1 1 1
2.262, 39.9, 2.8, 3 1 1
1.721, 53.2, 1.3, 3 3 1
1.444, 64.6, 1.0, 5 1 1
1.268, 74.9, 1.0, 5 3 1

Atomic structure:
abc: 7.5007 7.5007 7.5007
angles: 90.00 90.00 90.00
Fractional positions:
Y  0.0000  0.0000  0.0000
Y  0.0000  0.5000  0.5000
Y  0.5000  0.0000  0.5000
Y  0.5000  0.5000  0.0000
Ho  0.0000  0.0000  0.5000
Ho  0.0000  0.5000  0.0000
Ho  0.5000  0.0000  0.0000
Ho  0.5000  0.5000  0.5000
In  0.2500  0.2500  0.2500
In  0.2500  0.2500  0.7500
In  0.2500  0.7500  0.2500
In  0.2500  0.7500  0.7500
In  0.7500  0.2500  0.2500
In  0.7500  0.2500  0.7500
In  0.7500  0.7500  0.2500
In  0.7500  0.7500  0.7500

Entry 3:
# Mn7GeN6
Calculated X-ray powder pattern, a wavelength of 1.5418 Å. Input: a GGA-PBE-relaxed structure.

Most intense lines, 2θ from 10° to 80°, by intensity:
d [Å], 2theta, Rel. int., hkl
2.635, 34.0, 100.0, 2 2 1
2.391, 37.6, 84.0, 0 2 3
2.169, 41.6, 58.6, 2 0 4
2.199, 41.1, 45.8, 3 2 1
2.551, 35.2, 37.5, 3 0 2
2.035, 44.5, 28.4, 4 0 2
2.260, 39.9, 27.5, 1 1 4
1.430, 65.2, 23.9, 5 2 3
1.729, 53.0, 22.8, 0 4 0
2.732, 32.8, 20.6, 2 2 0

Atomic structure:
abc: 8.9217 6.9150 9.9309
angles: 90.00 90.00 90.00
Fractional positions:
Mn  0.0000  0.1184  0.2500
Mn  0.0000  0.8816  0.7500
Mn  0.0863  0.1355  0.5278
Mn  0.0863  0.8645  0.0278
Mn  0.1529  0.4189  0.1221
Mn  0.1529  0.5811  0.6221
Mn  0.2468  0.3621  0.3739
Mn  0.2468  0.6379  0.8739
Mn  0.2532  0.1379  0.8739
Mn  0.2532  0.8621  0.3739
Mn  0.3471  0.0811  0.6221
Mn  0.3471  0.9189  0.1221
Mn  0.4137  0.3645  0.0278
Mn  0.4137  0.6355  0.5278
Mn  0.5000  0.3816  0.7500
Mn  0.5000  0.6184  0.2500
Mn  0.5863  0.3645  0.4722
Mn  0.5863  0.6355  0.9722
Mn  0.6529  0.0811  0.8779
Mn  0.6529  0.9189  0.3779
Mn  0.7468  0.1379  0.6261
Mn  0.7468  0.8621  0.1261
Mn  0.7532  0.3621  0.1261
Mn  0.7532  0.6379  0.6261
Mn  0.8471  0.4189  0.3779
Mn  0.8471  0.5811  0.8779
Mn  0.9137  0.1355  0.9722
Mn  0.9137  0.8645  0.4722
Ge  0.0000  0.3161  0.7500
Ge  0.0000  0.6839  0.2500
Ge  0.5000  0.1839  0.2500
Ge  0.5000  0.8161  0.7500
N  0.0364  0.3039  0.3883
N  0.0364  0.6961  0.8883
N  0.1515  0.0803  0.7116
N  0.1515  0.9197  0.2116
N  0.2270  0.3952  0.9502
N  0.2270  0.6048  0.4502
N  0.2730  0.1048  0.4502
N  0.2730  0.8952  0.9502
N  0.3485  0.4197  0.2116
N  0.3485  0.5803  0.7116
N  0.4636  0.1961  0.8883
N  0.4636  0.8039  0.3883
N  0.5364  0.1961  0.6117
N  0.5364  0.8039  0.1117
N  0.6515  0.4197  0.2884
N  0.6515  0.5803  0.7884
N  0.7270  0.1048  0.0498
N  0.7270  0.8952  0.5498
N  0.7730  0.3952  0.5498
N  0.7730  0.6048  0.0498
N  0.8485  0.0803  0.7884
N  0.8485  0.9197  0.2884
N  0.9636  0.3039  0.1117
N  0.9636  0.6961  0.6117